The following is a calculated XRD peak list of PNF2. It was derived from the GGA-PBE geometry in the Materials Project, using Cu Kα (weighted mean of Kα1 and Kα2).
Peak positions follow from Bragg's law for the DFT cell and can differ from measured ones.

Peak list (6 most intense, 10 to 80 degrees two-theta, in order of falling intensity)
| 2theta | I (rel.) |
| --- | --- |
| 25.9 | 1000 |
| 19.7 | 487 |
| 18.7 | 359 |
| 33.9 | 226 |
| 36.0 | 190 |
| 55.6 | 120 |

Cell and atoms:
a b c (Å): 9.006 5.587 4.989
angles (deg): 90.00 90.00 90.00
Space group Cmc2_1 (No. 36)
Asymmetric unit:
1 P 0.000 0.133 0.000 x4
2 N 0.000 0.088 0.691 x4
3 F 0.132 0.306 0.065 x8